1.
For Er8OsRu2, a crystal structure in Alexandria, relaxed with GGA-PBE gives the simulated PXRD pattern in this record (Cu Kα).
No peak broadening, texture or thermal motion is included.

Most intense lines, 15° ≤ 2θ ≤ 90°, by angle:
two_theta  Rel. int.  (hkl)
27.0  30  2 2 0
31.4  63  1 3 1
31.8  63  1 1 -2
32.4  73  2 0 1
33.0  100  0 4 1
33.8  90  3 1 -1
35.9  43  0 2 2
36.3  36  2 2 -2
36.9  58  2 4 0
39.7  72  1 5 -1
41.0  39  3 3 0
55.8  28  3 3 -3

Cell: 8.2428 12.5124 5.7792 Å, 90.00 109.41 90.00°
Space group Cm (No. 8)
Asymmetric unit:
Er (0.0000, 0.0000, 0.0000)
Er (0.0608, 0.3718, 0.7904)
Er (0.1532, 0.1285, 0.6026)
Er (0.2164, 0.5000, 0.3736)
Er (0.3632, 0.2146, 0.1898)
Os (0.3595, 0.0000, 0.0511)
Ru (0.3517, 0.3112, 0.6826)

=====

2.
For Nd8Sm5In, a crystal structure in Alexandria, relaxed with GGA-PBE gives the simulated PXRD pattern in this record (Cu Kα).
No peak broadening, texture or thermal motion is included.

Most intense lines, 15° ≤ 2θ ≤ 90°, by angle:
two_theta  Rel. int.  (hkl)
24.2  20  3 1 -2
24.3  16  2 2 -1
29.5  41  2 2 -2
30.4  100  1 1 2
30.7  43  2 2 1
30.9  75  5 1 -1
31.1  70  4 2 -1
32.1  56  4 0 -3
32.2  75  1 3 0
33.2  23  1 3 -1
56.7  18  9 1 -4
58.0  15  4 2 -5

Cell: 15.6920 8.5278 8.6118 Å, 90.00 121.92 90.00°
Space group C2 (No. 5)
Asymmetric unit:
Nd (0.1231, 0.0000, 0.1815)
Nd (0.1755, 0.4071, 0.2178)
Nd (0.1826, 0.7015, 0.9191)
Nd (0.1873, 0.2281, 0.5726)
Sm (0.0000, 0.9562, 0.5000)
Sm (0.0478, 0.2979, 0.7715)
Sm (0.0987, 0.6295, 0.4534)
In (0.0000, 0.6637, 0.0000)

=====

3.
For SrPdF2, a crystal structure in Alexandria, relaxed with GGA-PBE gives the simulated PXRD pattern in this record (Cu Kα).
No peak broadening, texture or thermal motion is included.

Most intense lines, 15° ≤ 2θ ≤ 90°, by angle:
two_theta  Rel. int.  (hkl)
27.1  100  0 1 2
32.0  22  0 0 6
32.9  38  1 0 4
43.8  38  1 1 0
50.4  25  0 1 8
52.2  16  2 0 2
55.2  27  1 1 6
55.8  9  0 2 4
61.0  10  1 0 10
68.9  9  2 0 8
70.4  13  1 2 2
85.3  10  1 2 8

Cell: 4.1382 4.1382 16.7756 Å, 90.00 90.00 120.00°
Space group R-3m (No. 166, hexagonal axes)
Asymmetric unit:
Sr (0.0000, 0.0000, 0.0000)
Pd (0.0000, 0.0000, 0.5000)
F (0.0000, 0.0000, 0.3740)

=====

4.
For LiGaSe2, a crystal structure in Alexandria, relaxed with GGA-PBE gives the simulated PXRD pattern in this record (Cu Kα).
No peak broadening, texture or thermal motion is included.

Most intense lines, 15° ≤ 2θ ≤ 90°, by angle:
two_theta  Rel. int.  (hkl)
17.0  63  0 1 -1
24.8  98  0 2 0
25.7  100  1 0 1
27.2  17  0 1 -2
28.8  31  -1 1 1
36.4  41  1 2 1
44.1  54  1 0 3
44.2  52  1 3 0
45.8  26  2 0 0
50.3  22  1 2 -3
52.3  25  1 2 3
52.7  34  0 3 -3

Cell: 3.9617 7.1831 7.2061 Å, 92.82 90.04 90.04°
Space group P-1 (No. 2)
Asymmetric unit:
Li (0.0008, 0.3247, 0.1797)
Ga (0.4994, 0.8376, 0.3345)
Se (0.0011, 0.3084, 0.8135)
Se (0.4994, 0.8226, 0.6726)